[1]
# Li4Mg3In
Calculated X-ray diffraction stick pattern, Cu Kα. Input: a GGA-PBE-relaxed structure.
Peak positions follow from Bragg's law for the DFT cell and can differ from measured ones.

Top 10 peaks for 10 to 90 degrees two-theta, by intensity:
index  2θ (°)  Rel. int.
1 1 2  37.6  100
1 1 0  26.2  86
1 0 1  22.7  66
0 0 1  13.1  58
1 0 0  18.4  54
2 0 0  37.4  51
0 0 2  26.5  42
2 0 2  46.4  35
1 1 1  29.4  34
3 1 2  67.5  34

Structure:
a b c (Å): 4.813 4.813 6.739
angles (deg): 90.00 90.00 90.00
Space group P4/mmm (No. 123)
Symmetry-distinct sites (fractional):
Li (0.000, 0.500, 0.241) [4 per cell]
Mg (0.000, 0.000, 0.000) [1 per cell]
Mg (0.000, 0.000, 0.500) [1 per cell]
Mg (0.500, 0.500, 0.500) [1 per cell]
In (0.500, 0.500, 0.000) [1 per cell]


[2]
# Li15Mg2In2
Calculated X-ray diffraction stick pattern, Cu Kα. Input: a GGA-PBE-relaxed structure.
Peak positions follow from Bragg's law for the DFT cell and can differ from measured ones.

Top 10 peaks for 10 to 90 degrees two-theta, by intensity:
index  2θ (°)  Rel. int.
1 1 0  19.1  100
1 0 1  12.5  100
1 0 4  26.6  34
3 0 0  33.3  32
2 1 4  38.3  29
0 2 4  32.9  26
2 2 0  38.7  26
2 0 5  37.8  24
0 1 5  32.3  24
1 2 5  42.6  24

Structure:
a b c (Å): 9.3115 9.3115 14.7640
angles (deg): 90.00 90.00 120.00
Space group R-3m (No. 166, hexagonal axes)
Symmetry-distinct sites (fractional):
Li (0.0000, 0.2824, 0.0000) [18 per cell]
Li (0.0000, 0.5000, 0.5000) [9 per cell]
Li (0.0084, 0.5042, 0.1298) [18 per cell]
Mg (0.0000, 0.0000, 0.3288) [6 per cell]
In (0.0000, 0.0000, 0.1086) [6 per cell]


[3]
# Li2MgIn4
Calculated X-ray diffraction stick pattern, Cu Kα. Input: a GGA-PBE-relaxed structure.
Peak positions follow from Bragg's law for the DFT cell and can differ from measured ones.

Top 10 peaks for 10 to 90 degrees two-theta, by intensity:
index  2θ (°)  Rel. int.
1 0 -2  18.7  100
1 2 -2  34.3  60
2 0 0  29.9  40
0 2 0  28.5  36
2 2 0  41.8  28
1 2 2  46.0  24
3 2 -2  46.4  23
2 0 -4  37.9  23
1 0 2  35.3  22
3 0 -2  35.7  22

Structure:
a b c (Å): 7.580 6.257 9.508
angles (deg): 90.00 128.01 90.00
Space group P2_1/c (No. 14)
Symmetry-distinct sites (fractional):
Li (0.248, 0.001, 0.374) [4 per cell]
Mg (0.500, 0.000, 0.000) [2 per cell]
In (0.000, 0.250, 0.000) [4 per cell]
In (0.500, 0.250, 0.250) [4 per cell]


[4]
# LiMg4In2
Calculated X-ray diffraction stick pattern, Cu Kα. Input: a GGA-PBE-relaxed structure.
Peak positions follow from Bragg's law for the DFT cell and can differ from measured ones.

Top 10 peaks for 10 to 90 degrees two-theta, by intensity:
index  2θ (°)  Rel. int.
2 2 0  35.5  100
1 1 1  19.0  94
1 1 3  28.5  67
1 3 3  39.4  28
2 0 4  42.7  28
1 3 1  32.9  24
2 4 4  58.5  22
0 4 0  38.0  22
0 2 0  18.7  20
2 6 0  67.0  15

Structure:
a b c (Å): 5.999 9.469 11.967
angles (deg): 90.00 90.00 90.00
Space group Fmmm (No. 69)
Symmetry-distinct sites (fractional):
Li (0.000, 0.000, 0.000) [4 per cell]
Mg (0.250, 0.250, 0.000) [8 per cell]
Mg (0.250, 0.250, 0.250) [8 per cell]
In (0.000, 0.000, 0.363) [8 per cell]